For NdGaCuPt3, a cell relaxed with PBE gives the calculated powder diffractogram in this record (Cu Kα X-rays).
Neutral-atom scattering factors, no anomalous dispersion.

The 10 most intense peaks (15° ≤ 2θ ≤ 90°), low angle first:
2θ = 22.07°, I = 245, hkl 0 0 1; 2θ = 28.92°, I = 658, hkl 1 0 1; 2θ = 37.43°, I = 1000, hkl 2 0 0; 2θ = 39.44°, I = 946, hkl 1 1 1; 2θ = 43.88°, I = 773, hkl 2 0 1; 2θ = 45.01°, I = 352, hkl 0 0 2; 2θ = 59.93°, I = 521, hkl 2 0 2; 2θ = 62.39°, I = 243, hkl 3 0 1; 2θ = 67.53°, I = 315, hkl 2 2 0; 2θ = 84.88°, I = 343, hkl 2 2 2

Crystal structure
Unit cell a=5.5486 b=5.5486 c=4.0283 alpha=90.00 beta=90.00 gamma=120.00
Space group P-6m2 (No. 187)
Inequivalent atoms, fractional coordinates:
Nd 0.0000 0.0000 0.0000 x1
Ga 0.3333 0.6667 0.0000 x1
Cu 0.6667 0.3333 0.0000 x1
Pt 0.5016 0.0032 0.5000 x3